# 1
This entry pairs a crystal structure of MnCr2As with its computed X-ray powder pattern. Radiation: Cu Kα X-rays. Structure: a crystal structure in Alexandria, relaxed with PBE.
Neutral-atom scattering factors, no anomalous dispersion.

Crystal structure
```
4
Lattice="2.6998 0.0000 0.0000 0.0000 3.9656 0.0000 -0.7905 0.0000 4.5987" Properties=species:S:1:pos:R:3 pbc="T T T"
Mn 0.0000 0.0000 0.0000
Cr 0.3180 1.9828 3.6618
Cr 1.1861 0.0000 2.4305
As -0.1864 1.9828 1.3101
```

Principal peaks in the range 15 to 90 degrees two-theta, by angle:
d (Å)  2θ/deg  Rel. int.  hkl
2.493  36.02  135  1 0 -1
2.210  40.84  191  1 1 0
2.151  42.01  398  1 0 1
2.111  42.84  894  1 1 -1
1.989  45.61  1000  0 1 2
1.983  45.76  516  0 2 0
1.890  48.13  211  1 1 1
1.458  63.85  206  1 2 1
1.438  64.85  127  1 0 -3
1.168  82.61  113  1 3 -1
1.164  82.95  122  1 2 -3
1.146  84.55  147  0 3 2

# 2
This entry pairs a crystal structure of MnCr2As with its computed X-ray powder pattern. Radiation: Cu Kα X-rays. Structure: a crystal structure in Alexandria, relaxed with PBE.
Neutral-atom scattering factors, no anomalous dispersion.

Crystal structure
```
8
Lattice="3.1361 0.0000 0.0000 0.0000 3.9555 0.0000 0.0000 0.0000 7.8914" Properties=species:S:1:pos:R:3 pbc="T T T"
Mn 0.0000 0.0000 0.0000
Mn 1.5680 1.9777 3.9457
Cr 0.0000 0.0000 3.9554
Cr 0.0000 1.9777 1.9583
Cr 1.5680 0.0000 5.9040
Cr 1.5680 1.9777 0.0097
As 0.0000 1.9777 5.8964
As 1.5680 0.0000 1.9507
```

Principal peaks in the range 15 to 90 degrees two-theta, by angle:
d (Å)  2θ/deg  Rel. int.  hkl
3.946  22.53  11  0 0 2
3.536  25.18  19  0 1 1
2.914  30.68  13  1 0 1
2.190  41.21  7  0 1 3
2.086  43.38  1000  1 1 2
1.978  45.88  210  0 2 0
1.973  46.00  208  0 0 4
1.568  58.90  94  2 0 0
1.397  67.00  124  0 2 4
1.228  77.76  157  2 2 0
1.162  83.16  131  1 3 2
1.160  83.34  130  1 1 6

# 3
This entry pairs a crystal structure of CrMoAs2 with its computed X-ray powder pattern. Radiation: Cu Kα X-rays. Structure: a crystal structure in Alexandria, relaxed with PBE.
Neutral-atom scattering factors, no anomalous dispersion.

Crystal structure
```
8
Lattice="3.3998 0.0000 0.0000 0.0000 6.3308 0.0000 0.0000 0.0000 5.9013" Properties=species:S:1:pos:R:3 pbc="T T T"
Cr 0.0000 0.4037 0.0000
Cr 0.0000 5.9270 2.9506
Mo 1.6999 2.7947 5.8232
Mo 1.6999 3.5361 2.8726
As 0.0000 1.9753 4.0449
As 0.0000 4.3555 1.0942
As 1.6999 1.0641 1.7703
As 1.6999 5.2666 4.7210
```

Principal peaks in the range 15 to 90 degrees two-theta, by angle:
d (Å)  2θ/deg  Rel. int.  hkl
2.995  29.83  187  1 1 0
2.789  32.09  409  0 2 1
2.671  33.55  902  1 1 1
2.228  40.48  219  1 0 2
2.157  41.88  1000  0 2 2
2.102  43.03  882  1 1 2
1.987  45.66  229  0 3 1
1.879  48.46  271  0 1 3
1.793  50.93  330  1 3 0
1.700  53.94  285  2 0 0
1.335  70.52  174  2 2 2
1.159  83.37  275  1 4 3